No. 1
Starting from DFT lattice parameters and positions (PBE), the powder XRD pattern of CaTb2H8 was simulated for copper Kα.
No peak broadening, texture or thermal motion is included.

Principal peaks in the range 2θ from 5° to 70°, by intensity:
Position (°2θ)	d_spacing	I (rel.)	h k l
29.66	3.012	1000	1 1 0
34.26	2.617	330	1 0 3
49.51	1.841	250	1 2 3
15.99	5.544	195	0 0 2
34.63	2.591	166	0 2 0
58.48	1.578	144	2 1 3
59.02	1.565	142	1 3 0
58.59	1.575	129	1 1 6

Structure:
Unit cell a=3.707 b=5.181 c=11.087 alpha=90.00 beta=90.00 gamma=90.00
Space group Immm (No. 71)
Inequivalent atoms, fractional coordinates:
Ca: 0.000 0.000 0.000 x2
Tb: 0.000 0.000 0.323 x4
H: 0.000 0.220 0.500 x4
H: 0.000 0.273 0.156 x8
H: 0.000 0.500 0.322 x4

***

No. 2
Starting from DFT lattice parameters and positions (PBE), the powder XRD pattern of Ca2TeH6 was simulated for copper Kα.
No peak broadening, texture or thermal motion is included.

Principal peaks in the range 2θ from 5° to 70°, by intensity:
Position (°2θ)	d_spacing	I (rel.)	h k l
33.67	2.662	1000	2 2 0
20.43	4.346	708	1 1 1
39.71	2.270	423	3 1 1
60.22	1.537	333	4 2 2
53.02	1.727	191	3 3 1
48.36	1.882	172	4 0 0
64.30	1.449	138	3 3 3
23.64	3.764	54	2 0 0

Structure:
Unit cell a=7.528 b=7.528 c=7.528 alpha=90.00 beta=90.00 gamma=90.00
Space group Fm-3m (No. 225)
Inequivalent atoms, fractional coordinates:
Ca: 0.250 0.250 0.250 x8
Te: 0.000 0.000 0.000 x4
H: 0.000 0.000 0.372 x24

***

No. 3
Starting from DFT lattice parameters and positions (PBE), the powder XRD pattern of Ca3Tl2H was simulated for copper Kα.
No peak broadening, texture or thermal motion is included.

Principal peaks in the range 2θ from 5° to 70°, by intensity:
Position (°2θ)	d_spacing	I (rel.)	h k l
30.70	2.912	1000	2 2 -1
20.48	4.337	967	1 1 1
32.14	2.785	922	3 1 1
15.48	5.725	852	2 0 0
35.72	2.513	722	1 1 -3
32.32	2.770	646	4 0 -2
29.77	3.001	444	1 1 2
25.97	3.430	430	0 2 0

Structure:
Unit cell a=12.109 b=6.847 c=8.152 alpha=90.00 beta=108.99 gamma=90.00
Space group C2/c (No. 15)
Inequivalent atoms, fractional coordinates:
Ca: 0.000 0.101 0.250 x4
Ca: 0.121 0.402 0.956 x8
Tl: 0.192 0.181 0.650 x8
H: 0.000 0.421 0.250 x4

***

No. 4
Starting from DFT lattice parameters and positions (PBE), the powder XRD pattern of Ca6TlH2 was simulated for copper Kα.
No peak broadening, texture or thermal motion is included.

Principal peaks in the range 2θ from 5° to 70°, by intensity:
Position (°2θ)	d_spacing	I (rel.)	h k l
14.28	6.204	1000	1 1 -1
13.94	6.352	692	2 0 0
10.40	8.509	670	1 1 0
18.85	4.707	660	1 1 1
31.54	2.836	516	3 3 0
34.69	2.586	510	2 0 2
30.05	2.974	448	4 2 -1
29.56	3.022	410	4 0 -2

Structure:
Unit cell a=13.945 b=11.460 c=7.444 alpha=90.00 beta=114.35 gamma=90.00
Space group C2/c (No. 15)
Inequivalent atoms, fractional coordinates:
Ca: 0.119 0.216 0.013 x8
Ca: 0.130 0.446 0.662 x8
Ca: 0.141 0.098 0.496 x8
Tl: 0.000 0.329 0.250 x4
H: 0.190 0.062 0.220 x8

***

No. 5
Starting from DFT lattice parameters and positions (PBE), the powder XRD pattern of CaTmH was simulated for copper Kα.
No peak broadening, texture or thermal motion is included.

Principal peaks in the range 2θ from 5° to 70°, by intensity:
Position (°2θ)	d_spacing	I (rel.)	h k l
29.73	3.005	1000	1 1 0
11.91	7.430	979	0 0 1
29.53	3.025	504	0 1 -2
29.16	3.063	496	0 1 2
33.77	2.654	347	0 2 0
34.41	2.606	322	1 0 2
34.53	2.597	322	1 0 -2
49.27	1.849	244	1 2 -2

Structure:
Unit cell a=3.645 b=5.309 c=7.431 alpha=89.24 beta=89.81 gamma=89.93
Space group P-1 (No. 2)
Inequivalent atoms, fractional coordinates:
Ca: 0.248 0.255 0.363 x2
Tm: 0.251 0.262 0.891 x2
H: 0.249 0.515 0.113 x2

***

No. 6
Starting from DFT lattice parameters and positions (PBE), the powder XRD pattern of CaTm3H8 was simulated for copper Kα.
No peak broadening, texture or thermal motion is included.

Principal peaks in the range 2θ from 5° to 70°, by intensity:
Position (°2θ)	d_spacing	I (rel.)	h k l
30.14	2.965	1000	1 1 1
34.94	2.568	486	2 0 0
59.72	1.548	431	3 1 1
50.25	1.816	373	2 2 0
17.27	5.135	147	1 0 0
24.51	3.631	130	1 1 0
62.67	1.482	122	2 2 2
39.23	2.297	79	2 1 0

Structure:
Unit cell a=5.135 b=5.135 c=5.135 alpha=90.00 beta=90.00 gamma=90.00
Space group Pm-3m (No. 221)
Inequivalent atoms, fractional coordinates:
Ca: 0.000 0.000 0.000 x1
Tm: 0.000 0.500 0.500 x3
H: 0.257 0.257 0.257 x8

***

No. 7
Starting from DFT lattice parameters and positions (PBE), the powder XRD pattern of Ca3ZnH2 was simulated for copper Kα.
No peak broadening, texture or thermal motion is included.

Principal peaks in the range 2θ from 5° to 70°, by intensity:
Position (°2θ)	d_spacing	I (rel.)	h k l
30.66	2.916	1000	2 2 1
35.04	2.561	195	0 0 2
25.10	3.548	155	2 2 0
35.71	2.514	141	3 1 1
60.15	1.538	126	2 2 3
62.30	1.490	109	3 5 2
49.74	1.833	103	3 5 0
59.77	1.547	93	5 3 1

Structure:
Unit cell a=8.937 b=11.626 c=5.122 alpha=90.00 beta=90.00 gamma=90.00
Space group Cmcm (No. 63)
Inequivalent atoms, fractional coordinates:
Ca: 0.000 0.106 0.250 x4
Ca: 0.204 0.384 0.250 x8
Zn: 0.000 0.296 0.750 x4
H: 0.155 0.000 0.000 x8

***

No. 8
Starting from DFT lattice parameters and positions (PBE), the powder XRD pattern of Ca2HfHgMo was simulated for copper Kα.
No peak broadening, texture or thermal motion is included.

Principal peaks in the range 2θ from 5° to 70°, by intensity:
Position (°2θ)	d_spacing	I (rel.)	h k l
15.84	5.595	1000	1 0 0
22.47	3.956	897	1 1 0
31.99	2.798	782	2 0 0
46.96	1.935	532	2 0 2
40.67	2.218	399	1 1 2
33.45	2.679	347	0 0 2
45.87	1.978	285	2 2 0
35.89	2.502	285	2 1 0

Structure:
Unit cell a=5.595 b=5.595 c=5.358 alpha=90.00 beta=90.00 gamma=90.00
Space group P4/mmm (No. 123)
Inequivalent atoms, fractional coordinates:
Ca: 0.000 0.500 0.000 x2
Hf: 0.000 0.000 0.500 x1
Hg: 0.000 0.000 0.000 x1
Mo: 0.500 0.500 0.500 x1

***

No. 9
Starting from DFT lattice parameters and positions (PBE), the powder XRD pattern of CaHfIn was simulated for copper Kα.
No peak broadening, texture or thermal motion is included.

Principal peaks in the range 2θ from 5° to 70°, by intensity:
Position (°2θ)	d_spacing	I (rel.)	h k l
6.43	13.742	1000	0 0 2
34.54	2.597	394	1 0 7
36.71	2.448	169	1 1 0
64.72	1.440	123	2 1 7
30.52	2.929	108	1 0 5
39.34	2.290	88	1 0 9
37.31	2.410	76	1 1 2
60.45	1.531	73	1 1 14

Structure:
Unit cell a=3.462 b=3.462 c=27.483 alpha=90.00 beta=90.00 gamma=90.00
Space group I4/mmm (No. 139)
Inequivalent atoms, fractional coordinates:
Ca: 0.000 0.000 0.067 x4
Hf: 0.000 0.000 0.216 x4
In: 0.000 0.000 0.354 x4

***

No. 10
Starting from DFT lattice parameters and positions (PBE), the powder XRD pattern of CaLa2HfP4 was simulated for copper Kα.
No peak broadening, texture or thermal motion is included.

Principal peaks in the range 2θ from 5° to 70°, by intensity:
Position (°2θ)	d_spacing	I (rel.)	h k l
31.02	2.883	1000	1 1 1
26.81	3.325	345	1 1 -1
44.16	2.051	245	1 1 -3
44.77	2.024	232	3 1 -1
26.51	3.362	179	0 0 2
52.79	1.734	175	3 1 1
26.99	3.304	174	2 0 0
13.17	6.724	139	0 0 1

Structure:
Unit cell a=6.997 b=4.075 c=7.121 alpha=90.00 beta=109.22 gamma=90.00
Space group P2/m (No. 10)
Inequivalent atoms, fractional coordinates:
Ca: 0.000 0.000 0.000 x1
La: 0.500 0.000 0.500 x1
La: 0.500 0.500 0.000 x1
Hf: 0.000 0.500 0.500 x1
P: 0.223 0.000 0.728 x2
P: 0.231 0.500 0.262 x2

***

No. 11
Starting from DFT lattice parameters and positions (PBE), the powder XRD pattern of Ca2LaHfSc was simulated for copper Kα.
No peak broadening, texture or thermal motion is included.

Principal peaks in the range 2θ from 5° to 70°, by intensity:
Position (°2θ)	d_spacing	I (rel.)	h k l
27.84	3.205	1000	1 1 1
31.21	2.866	587	2 0 0
21.93	4.053	530	1 1 0
47.01	1.933	367	2 0 2
57.50	1.603	328	2 2 2
53.50	1.713	322	3 1 1
34.25	2.618	228	0 0 2
44.72	2.027	213	2 2 0

Structure:
Unit cell a=5.732 b=5.732 c=5.235 alpha=90.00 beta=90.00 gamma=90.00
Space group P4/mmm (No. 123)
Inequivalent atoms, fractional coordinates:
Ca: 0.000 0.500 0.000 x2
La: 0.000 0.000 0.500 x1
Hf: 0.500 0.500 0.500 x1
Sc: 0.500 0.500 0.000 x1